For AcAlNiO4, a DFT-relaxed cell (PBE+U, Alexandria) gives the simulated PXRD pattern in this record (Cu Kα X-rays).
Peak positions follow from Bragg's law for the DFT cell and can differ from measured ones.

Top 10 peaks for 10° ≤ 2θ ≤ 90°, low angle first:
2θ 20.2, rel. 79; 2θ 22.7, rel. 86; 2θ 24.8, rel. 35; 2θ 32.3, rel. 39; 2θ 33.9, rel. 100; 2θ 38.4, rel. 40; 2θ 41.1, rel. 56; 2θ 46.3, rel. 24; 2θ 53.2, rel. 32; 2θ 58.6, rel. 40

Structural model:
```
AcAlNiO4
1.0
-2.772 2.772 3.589
2.772 -2.772 3.589
2.772 2.772 -3.589
Ac Al Ni O
1 1 1 4
direct
0.000 0.000 0.000
0.750 0.250 0.500
0.500 0.500 0.000
0.099 0.528 0.890
0.472 0.362 0.571
0.638 0.209 0.110
0.791 0.901 0.429
```